Structure and simulated powder diffraction line list of AcMnBiO6 (a GGA+U-relaxed structure; λ = 1.5418 Å (Cu Kα)).
Peak positions follow from Bragg's law for the DFT cell and can differ from measured ones.

Structure:
```
data_AcMnBiO6
_cell_length_a 5.7395
_cell_length_b 5.7395
_cell_length_c 4.6974
_cell_angle_alpha 90.00
_cell_angle_beta 90.00
_cell_angle_gamma 120.00
_symmetry_space_group_name_H-M 'P 3 1 2'
_symmetry_Int_Tables_number 149
loop_
_symmetry_equiv_pos_as_xyz
'x,y,z'
'-y,x-y,z'
'-x+y,-x,z'
'-y,-x,-z'
'-x+y,y,-z'
'x,x-y,-z'
loop_
_atom_site_label
_atom_site_fract_x
_atom_site_fract_y
_atom_site_fract_z
Ac1 0.0000 0.0000 0.0000
Mn1 0.6667 0.3333 0.0000
Bi1 0.3333 0.6667 0.5000
O1 0.3948 0.0429 0.7669
```

Most intense lines, 2θ = 10–90°, low angle first:
| Position (°2θ) | I_rel | hkl |
| --- | --- | --- |
| 17.8 | 15 | 1 0 0 |
| 26.1 | 100 | 1 0 1 |
| 31.2 | 44 | 1 1 0 |
| 41.1 | 31 | 2 0 1 |
| 50.2 | 34 | 1 1 2 |
| 52.5 | 31 | 3 -1 1 |
| 55.5 | 13 | 3 0 0 |
| 62.2 | 9 | 1 0 3 |
| 69.4 | 9 | 3 0 2 |
| 71.3 | 13 | 3 1 1 |
| 78.0 | 9 | 4 -2 2 |
| 79.7 | 10 | 2 1 3 |